MnNiH: calculated XRD peak list (CuKα), based on the GGA-PBE geometry in Alexandria.
Peak positions follow from Bragg's law for the DFT cell and can differ from measured ones.

Structure:
```
MnNiH
1.0
2.5475 0.0000 0.0000
-1.2737 2.2062 0.0000
0.0000 0.0000 8.3754
Mn Ni H
2 2 2
Cartesian
0.0000 0.0000 0.0000 Mn
0.0000 1.4708 1.8662 Mn
0.0000 0.0000 4.0546 Ni
1.2737 0.7354 6.1185 Ni
0.0000 1.4708 7.1859 H
1.2737 0.7354 3.0125 H
```

Largest 6 diffraction maxima, sorted by position, 2θ = 15–90°:
42.37 deg, rel. 45
43.21 deg, rel. 35
46.53 deg, rel. 100
52.89 deg, rel. 23
74.49 deg, rel. 20
81.62 deg, rel. 15

***

V2Ni3Ru: calculated XRD peak list (CuKα), based on the GGA-PBE geometry in Alexandria.
Peak positions follow from Bragg's law for the DFT cell and can differ from measured ones.

Structure:
```
V2Ni3Ru
1.0
3.5886 0.0000 0.0000
0.0000 10.7984 0.0000
0.0000 0.0000 3.7454
V Ni Ru
4 6 2
Cartesian
0.0000 1.7468 0.0000 V
0.0000 9.0516 0.0000 V
1.7943 3.6524 0.0000 V
1.7943 7.1460 0.0000 V
0.0000 0.0000 1.8727 Ni
0.0000 3.5703 1.8727 Ni
0.0000 7.2282 1.8727 Ni
1.7943 1.8289 1.8727 Ni
1.7943 5.3992 1.8727 Ni
1.7943 8.9695 1.8727 Ni
0.0000 5.3992 0.0000 Ru
1.7943 0.0000 0.0000 Ru
```

Largest 6 diffraction maxima, sorted by position, 2θ = 15–90°:
43.01 deg, rel. 100
48.62 deg, rel. 17
50.73 deg, rel. 15
50.89 deg, rel. 15
73.03 deg, rel. 9
86.94 deg, rel. 12

***

Pm2PrCd2Sn2: calculated XRD peak list (CuKα), based on the GGA-PBE geometry in Alexandria.
Peak positions follow from Bragg's law for the DFT cell and can differ from measured ones.

Structure:
```
Pm2PrCd2Sn2
1.0
2.4994 1.4430 9.1861
-2.4994 1.4430 9.1861
0.0000 -2.8860 9.1861
Pm Pr Cd Sn
2 1 2 2
Cartesian
0.0000 0.0000 3.6555 Pm
0.0000 0.0000 23.9029 Pm
0.0000 0.0000 0.0000 Pr
0.0000 0.0000 11.5769 Cd
0.0000 0.0000 15.9816 Cd
0.0000 0.0000 7.3525 Sn
0.0000 0.0000 20.2059 Sn
```

Largest 6 diffraction maxima, sorted by position, 2θ = 15–90°:
30.70 deg, rel. 100
33.24 deg, rel. 24
35.93 deg, rel. 88
47.96 deg, rel. 29
61.36 deg, rel. 27
64.59 deg, rel. 16

***

Dy3Er9Tm2: calculated XRD peak list (CuKα), based on the GGA-PBE geometry in Alexandria.
Peak positions follow from Bragg's law for the DFT cell and can differ from measured ones.

Structure:
```
Dy3Er9Tm2
1.0
6.1454 0.0000 0.0000
2.2159 8.5533 0.0000
1.2594 2.9040 8.3072
Dy Er Tm
3 9 2
Cartesian
0.0000 0.0000 0.0000 Dy
1.6882 3.1855 3.5083 Dy
5.6211 6.5785 0.4557 Dy
2.2896 5.5169 6.0110 Er
4.2542 8.3360 2.9018 Er
3.0727 1.7395 0.1860 Er
3.7621 2.3226 5.9960 Er
4.7240 4.9044 3.6451 Er
5.6001 7.3359 6.0660 Er
4.8825 1.4922 3.0095 Er
6.0232 3.3581 0.7050 Er
8.8173 9.0164 5.8774 Er
2.7129 5.1144 0.7192 Tm
7.5177 6.8100 3.2028 Tm
```

Largest 6 diffraction maxima, sorted by position, 2θ = 15–90°:
31.22 deg, rel. 30
32.38 deg, rel. 74
32.68 deg, rel. 12
33.48 deg, rel. 100
44.71 deg, rel. 9
49.75 deg, rel. 10

***

RbHfCl14: calculated XRD peak list (CuKα), based on the GGA-PBE geometry in Alexandria.
Peak positions follow from Bragg's law for the DFT cell and can differ from measured ones.

Structure:
```
RbHfCl14
1.0
4.8694 -6.8121 0.0000
4.8694 6.8121 0.0000
-3.4107 0.0000 7.4269
Rb Hf Cl
1 1 14
Cartesian
0.0000 0.0000 0.0000 Rb
4.8694 -1.9355 0.0000 Hf
3.1641 6.3459 3.7134 Cl
1.2819 3.0987 3.9664 Cl
4.0364 3.3710 1.6263 Cl
2.2918 3.3710 5.8006 Cl
0.0916 -0.5982 5.9339 Cl
3.0158 -0.5520 1.4162 Cl
5.0463 3.0987 3.4605 Cl
3.1641 -0.5772 3.7134 Cl
2.8682 -3.6600 0.0414 Cl
3.3124 -0.5520 6.0107 Cl
1.8977 -3.4582 5.2829 Cl
6.2366 -0.5982 1.4930 Cl
4.4305 -3.4582 2.1440 Cl
3.4600 -3.6600 7.3855 Cl
```

Largest 6 diffraction maxima, sorted by position, 2θ = 15–90°:
20.07 deg, rel. 36
22.00 deg, rel. 41
23.98 deg, rel. 37
27.39 deg, rel. 100
33.95 deg, rel. 39
35.81 deg, rel. 36

***

Tb5PrSm4: calculated XRD peak list (CuKα), based on the GGA-PBE geometry in Alexandria.
Peak positions follow from Bragg's law for the DFT cell and can differ from measured ones.

Structure:
```
Tb5PrSm4
1.0
-5.2993 5.2993 3.0350
5.2993 -5.2993 3.0350
5.2993 5.2993 -3.0350
Tb Pr Sm
5 1 4
Cartesian
0.0000 0.0000 0.0000 Tb
3.2902 3.2902 -1.4570 Tb
2.0091 -2.0091 1.5779 Tb
-2.0091 2.0091 1.5779 Tb
2.0091 2.0091 1.5779 Tb
0.0000 0.0000 3.2166 Pr
5.2993 -1.8403 1.7510 Sm
5.2993 1.8403 1.7510 Sm
-1.8403 5.2993 1.7510 Sm
1.8403 5.2993 1.7510 Sm
```

Largest 6 diffraction maxima, sorted by position, 2θ = 15–90°:
29.25 deg, rel. 100
29.43 deg, rel. 15
34.04 deg, rel. 19
35.95 deg, rel. 41
52.09 deg, rel. 15
60.56 deg, rel. 17

***

K2CuH5: calculated XRD peak list (CuKα), based on the GGA-PBE geometry in Alexandria.
Peak positions follow from Bragg's law for the DFT cell and can differ from measured ones.

Structure:
```
K2CuH5
1.0
5.6726 0.0000 0.0000
0.0000 5.6726 0.0000
0.0000 0.0000 8.1973
K Cu H
4 2 10
Cartesian
0.0000 2.8363 0.0000 K
0.0000 2.8363 4.0987 K
2.8363 0.0000 0.0000 K
2.8363 0.0000 4.0987 K
0.0000 0.0000 2.2657 Cu
2.8363 2.8363 6.3644 Cu
0.0000 0.0000 3.9842 H
1.0579 1.0579 1.9690 H
1.0579 4.6147 1.9690 H
1.7784 1.7784 6.0676 H
1.7784 3.8942 6.0676 H
2.8363 2.8363 8.0828 H
3.8942 1.7784 6.0676 H
3.8942 3.8942 6.0676 H
4.6147 1.0579 1.9690 H
4.6147 4.6147 1.9690 H
```

Largest 6 diffraction maxima, sorted by position, 2θ = 15–90°:
19.03 deg, rel. 82
31.20 deg, rel. 100
31.54 deg, rel. 48
37.10 deg, rel. 26
45.21 deg, rel. 18
55.95 deg, rel. 32

***

K2CeGa2O6: calculated XRD peak list (CuKα), based on the GGA-PBE geometry in Alexandria.
Peak positions follow from Bragg's law for the DFT cell and can differ from measured ones.

Structure:
```
K2CeGa2O6
1.0
5.5095 0.0000 0.0000
-2.7548 4.7714 0.0000
0.0000 0.0000 6.4051
K Ce Ga O
2 1 2 6
Cartesian
0.0000 3.1809 0.0000 K
2.7548 1.5905 0.0000 K
0.0000 0.0000 3.2025 Ce
0.0000 3.1809 3.2025 Ga
2.7548 1.5905 3.2025 Ga
-1.0018 1.7352 4.2872 O
-1.7529 3.0362 2.1179 O
2.0037 0.0000 4.2872 O
1.0018 1.7352 2.1179 O
3.5059 0.0000 2.1179 O
1.7529 3.0362 4.2872 O
```

Largest 6 diffraction maxima, sorted by position, 2θ = 15–90°:
23.25 deg, rel. 35
27.86 deg, rel. 35
32.50 deg, rel. 73
35.47 deg, rel. 43
43.32 deg, rel. 100
57.99 deg, rel. 27